# 1
Diffraction record for LaSi. The XRD peak list is theoretical, not measured: it uses a cell relaxed with GGA-PBE and Cu Kα (λ = 1.5418 Å).
Neutral-atom scattering factors, no anomalous dispersion.

Peak list (10 most intense, 2θ = 10–80°, low angle first)
2theta	d (Å)	Rel. int.
22.60	3.935	71.9
26.49	3.365	91.4
27.97	3.190	80.5
31.84	2.811	100.0
32.01	2.796	71.8
33.24	2.695	42.6
34.22	2.621	83.1
35.49	2.529	53.3
37.89	2.375	53.6
68.53	1.369	41.8

Atomic structure:
```
data_LaSi
_symmetry_space_group_name_H-M 'P 1'
_symmetry_Int_Tables_number 1
_cell_length_a 5.806
_cell_length_b 6.086
_cell_length_c 11.239
_cell_angle_alpha 90.00
_cell_angle_beta 90.00
_cell_angle_gamma 90.00
loop_
_symmetry_equiv_pos_as_xyz
'x,y,z'
loop_
_atom_site_label
_atom_site_type_symbol
_atom_site_fract_x
_atom_site_fract_y
_atom_site_fract_z
La1 La 0.119 0.074 0.023
La2 La 0.152 0.667 0.825
La3 La 0.348 0.333 0.325
La4 La 0.381 0.926 0.523
La5 La 0.619 0.426 0.977
La6 La 0.652 0.833 0.175
La7 La 0.848 0.167 0.675
La8 La 0.881 0.574 0.477
Si1 Si 0.138 0.569 0.104
Si2 Si 0.162 0.831 0.279
Si3 Si 0.338 0.169 0.779
Si4 Si 0.362 0.431 0.604
Si5 Si 0.638 0.931 0.896
Si6 Si 0.662 0.669 0.721
Si7 Si 0.838 0.331 0.221
Si8 Si 0.862 0.069 0.396
```

# 2
Diffraction record for La3Si. The XRD peak list is theoretical, not measured: it uses a cell relaxed with GGA-PBE and Cu Kα (λ = 1.5418 Å).
Neutral-atom scattering factors, no anomalous dispersion.

Peak list (10 most intense, 2θ = 10–80°, low angle first)
2theta	d (Å)	Rel. int.
24.06	3.699	27.2
28.03	3.184	24.4
29.16	3.062	100.0
29.61	3.017	24.1
29.80	2.998	62.1
31.30	2.858	51.7
31.68	2.825	72.3
42.70	2.118	27.1
50.89	1.794	33.7
54.13	1.694	31.6

Atomic structure:
```
data_La3Si
_symmetry_space_group_name_H-M 'P 1'
_symmetry_Int_Tables_number 1
_cell_length_a 6.710
_cell_length_b 6.710
_cell_length_c 9.456
_cell_angle_alpha 90.00
_cell_angle_beta 90.00
_cell_angle_gamma 143.21
loop_
_symmetry_equiv_pos_as_xyz
'x,y,z'
loop_
_atom_site_label
_atom_site_type_symbol
_atom_site_fract_x
_atom_site_fract_y
_atom_site_fract_z
La1 La 0.070 0.930 0.750
La2 La 0.354 0.646 0.555
La3 La 0.354 0.646 0.945
La4 La 0.646 0.354 0.055
La5 La 0.646 0.354 0.445
La6 La 0.930 0.070 0.250
Si1 Si 0.254 0.746 0.250
Si2 Si 0.746 0.254 0.750
```

# 3
Diffraction record for LaSi10. The XRD peak list is theoretical, not measured: it uses a cell relaxed with GGA-PBE and Cu Kα (λ = 1.5418 Å).
Neutral-atom scattering factors, no anomalous dispersion.

Peak list (10 most intense, 2θ = 10–80°, low angle first)
2theta	d (Å)	Rel. int.
18.56	4.782	24.1
21.49	4.135	35.0
28.54	3.128	34.8
34.26	2.617	79.5
37.65	2.389	100.0
47.90	1.899	12.2
54.32	1.689	46.9
59.03	1.565	17.3
65.87	1.418	11.6
72.15	1.309	14.7

Atomic structure:
```
data_LaSi10
_symmetry_space_group_name_H-M 'P 1'
_symmetry_Int_Tables_number 1
_cell_length_a 9.563
_cell_length_b 9.563
_cell_length_c 4.772
_cell_angle_alpha 90.00
_cell_angle_beta 90.00
_cell_angle_gamma 120.00
loop_
_symmetry_equiv_pos_as_xyz
'x,y,z'
loop_
_atom_site_label
_atom_site_type_symbol
_atom_site_fract_x
_atom_site_fract_y
_atom_site_fract_z
La1 La 0.333 0.667 0.250
La2 La 0.667 0.333 0.750
Si1 Si 0.000 0.000 0.250
Si2 Si 0.000 0.000 0.750
Si3 Si 0.046 0.523 0.750
Si4 Si 0.143 0.287 0.250
Si5 Si 0.143 0.857 0.250
Si6 Si 0.184 0.367 0.750
Si7 Si 0.184 0.816 0.750
Si8 Si 0.287 0.143 0.750
Si9 Si 0.367 0.184 0.250
Si10 Si 0.477 0.523 0.750
Si11 Si 0.477 0.954 0.750
Si12 Si 0.523 0.046 0.250
Si13 Si 0.523 0.477 0.250
Si14 Si 0.633 0.816 0.750
Si15 Si 0.713 0.857 0.250
Si16 Si 0.816 0.184 0.250
Si17 Si 0.816 0.633 0.250
Si18 Si 0.857 0.143 0.750
Si19 Si 0.857 0.713 0.750
Si20 Si 0.954 0.477 0.250
```

# 4
Diffraction record for La3Si23. The XRD peak list is theoretical, not measured: it uses a cell relaxed with GGA-PBE and Cu Kα (λ = 1.5418 Å).
Neutral-atom scattering factors, no anomalous dispersion.

Peak list (10 most intense, 2θ = 10–80°, low angle first)
2theta	d (Å)	Rel. int.
12.33	7.179	42.7
19.55	4.540	64.0
27.79	3.211	28.2
30.50	2.931	92.4
31.78	2.816	100.0
33.01	2.713	96.4
35.36	2.538	32.4
48.27	1.885	29.8
52.56	1.741	54.5
55.82	1.647	40.6

Atomic structure:
```
data_La3Si23
_symmetry_space_group_name_H-M 'P 1'
_symmetry_Int_Tables_number 1
_cell_length_a 10.153
_cell_length_b 10.153
_cell_length_c 10.153
_cell_angle_alpha 90.00
_cell_angle_beta 90.00
_cell_angle_gamma 90.00
loop_
_symmetry_equiv_pos_as_xyz
'x,y,z'
loop_
_atom_site_label
_atom_site_type_symbol
_atom_site_fract_x
_atom_site_fract_y
_atom_site_fract_z
La1 La 0.000 0.250 0.500
La2 La 0.000 0.750 0.500
La3 La 0.250 0.500 0.000
La4 La 0.500 0.000 0.250
La5 La 0.500 0.000 0.750
La6 La 0.750 0.500 0.000
Si1 Si 0.000 0.308 0.119
Si2 Si 0.000 0.308 0.881
Si3 Si 0.000 0.500 0.250
Si4 Si 0.000 0.500 0.750
Si5 Si 0.000 0.692 0.119
Si6 Si 0.000 0.692 0.881
Si7 Si 0.119 0.000 0.308
Si8 Si 0.119 0.000 0.692
Si9 Si 0.184 0.184 0.184
Si10 Si 0.184 0.184 0.816
Si11 Si 0.184 0.816 0.184
Si12 Si 0.184 0.816 0.816
Si13 Si 0.192 0.500 0.381
Si14 Si 0.192 0.500 0.619
Si15 Si 0.250 0.000 0.500
Si16 Si 0.308 0.119 0.000
Si17 Si 0.308 0.881 0.000
Si18 Si 0.316 0.316 0.316
Si19 Si 0.316 0.316 0.684
Si20 Si 0.316 0.684 0.316
Si21 Si 0.316 0.684 0.684
Si22 Si 0.381 0.192 0.500
Si23 Si 0.381 0.808 0.500
Si24 Si 0.500 0.250 0.000
Si25 Si 0.500 0.381 0.192
Si26 Si 0.500 0.381 0.808
Si27 Si 0.500 0.619 0.192
Si28 Si 0.500 0.619 0.808
Si29 Si 0.500 0.750 0.000
Si30 Si 0.619 0.192 0.500
Si31 Si 0.619 0.808 0.500
Si32 Si 0.684 0.316 0.316
Si33 Si 0.684 0.316 0.684
Si34 Si 0.684 0.684 0.316
Si35 Si 0.684 0.684 0.684
Si36 Si 0.692 0.119 0.000
Si37 Si 0.692 0.881 0.000
Si38 Si 0.750 0.000 0.500
Si39 Si 0.808 0.500 0.381
Si40 Si 0.808 0.500 0.619
Si41 Si 0.816 0.184 0.184
Si42 Si 0.816 0.184 0.816
Si43 Si 0.816 0.816 0.184
Si44 Si 0.816 0.816 0.816
Si45 Si 0.881 0.000 0.308
Si46 Si 0.881 0.000 0.692
```

# 5
Diffraction record for La5Si2. The XRD peak list is theoretical, not measured: it uses a cell relaxed with GGA-PBE and Cu Kα (λ = 1.5418 Å).
Neutral-atom scattering factors, no anomalous dispersion.

Peak list (10 most intense, 2θ = 10–80°, low angle first)
2theta	d (Å)	Rel. int.
25.32	3.518	66.1
25.77	3.457	53.1
28.35	3.148	26.6
28.96	3.083	31.5
30.94	2.890	100.0
32.32	2.770	58.8
32.85	2.727	33.9
35.21	2.549	50.1
36.74	2.446	24.0
37.17	2.419	28.9

Atomic structure:
```
data_La5Si2
_symmetry_space_group_name_H-M 'P 1'
_symmetry_Int_Tables_number 1
_cell_length_a 8.821
_cell_length_b 8.821
_cell_length_c 8.398
_cell_angle_alpha 97.68
_cell_angle_beta 97.68
_cell_angle_gamma 40.95
loop_
_symmetry_equiv_pos_as_xyz
'x,y,z'
loop_
_atom_site_label
_atom_site_type_symbol
_atom_site_fract_x
_atom_site_fract_y
_atom_site_fract_z
La1 La 0.146 0.854 0.750
La2 La 0.164 0.296 0.342
La3 La 0.252 0.573 0.064
La4 La 0.296 0.164 0.842
La5 La 0.427 0.748 0.436
La6 La 0.573 0.252 0.564
La7 La 0.704 0.836 0.158
La8 La 0.748 0.427 0.936
La9 La 0.836 0.704 0.658
La10 La 0.854 0.146 0.250
Si1 Si 0.078 0.715 0.410
Si2 Si 0.285 0.922 0.090
Si3 Si 0.715 0.078 0.910
Si4 Si 0.922 0.285 0.590
```

# 6
Diffraction record for LaSmSi. The XRD peak list is theoretical, not measured: it uses a cell relaxed with GGA-PBE and Cu Kα (λ = 1.5418 Å).
Neutral-atom scattering factors, no anomalous dispersion.

Peak list (10 most intense, 2θ = 10–80°, low angle first)
2theta	d (Å)	Rel. int.
21.93	4.054	20.6
23.93	3.719	13.1
30.02	2.977	100.0
32.68	2.741	47.6
33.77	2.654	49.6
38.46	2.340	16.4
41.17	2.192	18.0
51.34	1.780	20.6
54.27	1.690	25.7
61.31	1.512	22.4

Atomic structure:
```
data_LaSmSi
_symmetry_space_group_name_H-M 'P 1'
_symmetry_Int_Tables_number 1
_cell_length_a 8.108
_cell_length_b 8.108
_cell_length_c 4.385
_cell_angle_alpha 90.00
_cell_angle_beta 90.00
_cell_angle_gamma 120.00
loop_
_symmetry_equiv_pos_as_xyz
'x,y,z'
loop_
_atom_site_label
_atom_site_type_symbol
_atom_site_fract_x
_atom_site_fract_y
_atom_site_fract_z
La1 La 0.000 0.590 0.000
La2 La 0.410 0.410 0.000
La3 La 0.590 0.000 0.000
Sm1 Sm 0.000 0.262 0.500
Sm2 Sm 0.262 0.000 0.500
Sm3 Sm 0.738 0.738 0.500
Si1 Si 0.000 0.000 0.000
Si2 Si 0.333 0.667 0.500
Si3 Si 0.667 0.333 0.500
```

# 7
Diffraction record for La3Si2Sn2. The XRD peak list is theoretical, not measured: it uses a cell relaxed with GGA-PBE and Cu Kα (λ = 1.5418 Å).
Neutral-atom scattering factors, no anomalous dispersion.

Peak list (10 most intense, 2θ = 10–80°, low angle first)
2theta	d (Å)	Rel. int.
28.08	3.178	82.4
29.58	3.020	100.0
30.30	2.950	38.7
33.86	2.647	70.9
38.61	2.332	36.2
39.03	2.308	22.6
40.11	2.248	30.1
41.43	2.180	29.7
48.44	1.879	21.9
57.91	1.592	22.3

Atomic structure:
```
data_La3Si2Sn2
_symmetry_space_group_name_H-M 'P 1'
_symmetry_Int_Tables_number 1
_cell_length_a 10.042
_cell_length_b 10.042
_cell_length_c 10.042
_cell_angle_alpha 154.93
_cell_angle_beta 153.14
_cell_angle_gamma 37.07
loop_
_symmetry_equiv_pos_as_xyz
'x,y,z'
loop_
_atom_site_label
_atom_site_type_symbol
_atom_site_fract_x
_atom_site_fract_y
_atom_site_fract_z
La1 La 0.000 0.000 0.000
La2 La 0.177 0.677 0.500
La3 La 0.823 0.323 0.500
Si1 Si 0.439 0.439 0.000
Si2 Si 0.561 0.561 0.000
Sn1 Sn 0.352 0.852 0.500
Sn2 Sn 0.648 0.148 0.500
```

# 8
Diffraction record for Sr2LaSi. The XRD peak list is theoretical, not measured: it uses a cell relaxed with GGA-PBE and Cu Kα (λ = 1.5418 Å).
Neutral-atom scattering factors, no anomalous dispersion.

Peak list (10 most intense, 2θ = 10–80°, low angle first)
2theta	d (Å)	Rel. int.
11.55	7.661	73.4
22.78	3.904	81.9
24.10	3.693	41.1
24.20	3.678	100.0
24.97	3.566	98.0
27.04	3.298	94.0
30.33	2.947	89.3
33.62	2.666	74.4
34.97	2.566	95.6
35.14	2.554	51.5

Atomic structure:
```
data_Sr2LaSi
_symmetry_space_group_name_H-M 'P 1'
_symmetry_Int_Tables_number 1
_cell_length_a 5.561
_cell_length_b 5.561
_cell_length_c 8.158
_cell_angle_alpha 108.51
_cell_angle_beta 108.51
_cell_angle_gamma 45.15
loop_
_symmetry_equiv_pos_as_xyz
'x,y,z'
loop_
_atom_site_label
_atom_site_type_symbol
_atom_site_fract_x
_atom_site_fract_y
_atom_site_fract_z
Sr1 Sr 0.000 0.000 0.000
Sr2 Sr 0.170 0.170 0.620
La1 La 0.352 0.352 0.310
Si1 Si 0.645 0.645 0.312
```

# 9
Diffraction record for Sr2LaSi2. The XRD peak list is theoretical, not measured: it uses a cell relaxed with GGA-PBE and Cu Kα (λ = 1.5418 Å).
Neutral-atom scattering factors, no anomalous dispersion.

Peak list (10 most intense, 2θ = 10–80°, low angle first)
2theta	d (Å)	Rel. int.
20.03	4.432	16.7
26.64	3.346	22.9
27.58	3.235	21.3
30.04	2.975	100.0
38.33	2.349	30.6
38.72	2.326	15.5
47.29	1.922	19.2
49.21	1.852	14.4
55.62	1.652	10.6
64.23	1.450	22.2

Atomic structure:
```
data_Sr2LaSi2
_symmetry_space_group_name_H-M 'P 1'
_symmetry_Int_Tables_number 1
_cell_length_a 7.471
_cell_length_b 7.471
_cell_length_c 7.471
_cell_angle_alpha 143.35
_cell_angle_beta 143.35
_cell_angle_gamma 52.79
loop_
_symmetry_equiv_pos_as_xyz
'x,y,z'
loop_
_atom_site_label
_atom_site_type_symbol
_atom_site_fract_x
_atom_site_fract_y
_atom_site_fract_z
Sr1 Sr 0.250 0.750 0.500
Sr2 Sr 0.750 0.250 0.500
La1 La 0.000 0.000 0.000
Si1 Si 0.413 0.413 0.000
Si2 Si 0.587 0.587 0.000
```

# 10
Diffraction record for LaTb4Si4. The XRD peak list is theoretical, not measured: it uses a cell relaxed with GGA-PBE and Cu Kα (λ = 1.5418 Å).
Neutral-atom scattering factors, no anomalous dispersion.

Peak list (10 most intense, 2θ = 10–80°, low angle first)
2theta	d (Å)	Rel. int.
13.42	6.600	34.1
26.39	3.377	100.0
30.28	2.951	94.4
31.26	2.862	42.7
32.61	2.746	62.9
34.15	2.625	27.0
38.13	2.360	32.8
42.86	2.110	47.1
51.42	1.777	43.4
59.01	1.565	25.1

Atomic structure:
```
data_LaTb4Si4
_symmetry_space_group_name_H-M 'P 1'
_symmetry_Int_Tables_number 1
_cell_length_a 9.333
_cell_length_b 9.333
_cell_length_c 5.746
_cell_angle_alpha 90.00
_cell_angle_beta 90.00
_cell_angle_gamma 90.00
loop_
_symmetry_equiv_pos_as_xyz
'x,y,z'
loop_
_atom_site_label
_atom_site_type_symbol
_atom_site_fract_x
_atom_site_fract_y
_atom_site_fract_z
La1 La 0.250 0.250 0.250
La2 La 0.750 0.750 0.750
Tb1 Tb 0.102 0.640 0.128
Tb2 Tb 0.140 0.898 0.628
Tb3 Tb 0.360 0.602 0.628
Tb4 Tb 0.398 0.860 0.128
Tb5 Tb 0.602 0.140 0.872
Tb6 Tb 0.640 0.398 0.372
Tb7 Tb 0.860 0.102 0.372
Tb8 Tb 0.898 0.360 0.872
Si1 Si 0.047 0.591 0.633
Si2 Si 0.091 0.953 0.133
Si3 Si 0.409 0.547 0.133
Si4 Si 0.453 0.909 0.633
Si5 Si 0.547 0.091 0.367
Si6 Si 0.591 0.453 0.867
Si7 Si 0.909 0.047 0.867
Si8 Si 0.953 0.409 0.367
```

# 11
Diffraction record for La2ThSi6. The XRD peak list is theoretical, not measured: it uses a cell relaxed with GGA-PBE and Cu Kα (λ = 1.5418 Å).
Neutral-atom scattering factors, no anomalous dispersion.

Peak list (10 most intense, 2θ = 10–80°, low angle first)
2theta	d (Å)	Rel. int.
20.70	4.291	14.7
24.86	3.582	48.2
32.56	2.750	100.0
42.12	2.146	10.8
43.77	2.068	28.9
49.52	1.841	15.7
55.61	1.653	21.8
62.36	1.489	20.2
70.95	1.328	10.6
73.33	1.291	19.3

Atomic structure:
```
data_La2ThSi6
_symmetry_space_group_name_H-M 'P 1'
_symmetry_Int_Tables_number 1
_cell_length_a 7.164
_cell_length_b 7.164
_cell_length_c 4.291
_cell_angle_alpha 90.00
_cell_angle_beta 90.00
_cell_angle_gamma 120.00
loop_
_symmetry_equiv_pos_as_xyz
'x,y,z'
loop_
_atom_site_label
_atom_site_type_symbol
_atom_site_fract_x
_atom_site_fract_y
_atom_site_fract_z
La1 La 0.333 0.667 0.000
La2 La 0.667 0.333 0.000
Th1 Th 0.000 0.000 0.000
Si1 Si 0.000 0.331 0.500
Si2 Si 0.000 0.669 0.500
Si3 Si 0.331 0.000 0.500
Si4 Si 0.331 0.331 0.500
Si5 Si 0.669 0.000 0.500
Si6 Si 0.669 0.669 0.500
```

# 12
Diffraction record for LaTi2Si4. The XRD peak list is theoretical, not measured: it uses a cell relaxed with GGA-PBE and Cu Kα (λ = 1.5418 Å).
Neutral-atom scattering factors, no anomalous dispersion.

Peak list (10 most intense, 2θ = 10–80°, low angle first)
2theta	d (Å)	Rel. int.
27.82	3.206	17.9
28.27	3.156	37.6
29.31	3.047	22.8
34.16	2.625	50.7
35.43	2.534	100.0
42.40	2.132	28.7
48.27	1.885	17.4
49.40	1.845	17.4
53.03	1.727	25.8
61.43	1.509	17.3

Atomic structure:
```
data_LaTi2Si4
_symmetry_space_group_name_H-M 'P 1'
_symmetry_Int_Tables_number 1
_cell_length_a 9.514
_cell_length_b 9.514
_cell_length_c 9.514
_cell_angle_alpha 157.64
_cell_angle_beta 157.14
_cell_angle_gamma 32.19
loop_
_symmetry_equiv_pos_as_xyz
'x,y,z'
loop_
_atom_site_label
_atom_site_type_symbol
_atom_site_fract_x
_atom_site_fract_y
_atom_site_fract_z
La1 La 0.000 0.000 0.000
Ti1 Ti 0.192 0.692 0.500
Ti2 Ti 0.808 0.308 0.500
Si1 Si 0.332 0.832 0.500
Si2 Si 0.412 0.412 0.000
Si3 Si 0.588 0.588 0.000
Si4 Si 0.668 0.168 0.500
```